NaU3O8: simulated powder diffraction line list (Cu Kα (λ = 1.5418 Å)), based on a DFT-relaxed cell (GGA-PBE, Alexandria).
Lines closer than 0.1° are merged.

Cell and atoms:
a = 6.9228 Å, b = 6.9228 Å, c = 4.2312 Å
α = 90.00°, β = 90.00°, γ = 120.00°
Element x y z (fractional)
Na1 0.0000 0.0000 0.0000
U1 0.0000 0.3609 0.5000
U2 0.3609 0.0000 0.5000
U3 0.6391 0.6391 0.5000
O1 0.0000 0.3468 0.0000
O2 0.0000 0.7609 0.5000
O3 0.2391 0.2391 0.5000
O4 0.3333 0.6667 0.5000
O5 0.3468 0.0000 0.0000
O6 0.6532 0.6532 0.0000
O7 0.6667 0.3333 0.5000
O8 0.7609 0.0000 0.5000

Largest 6 diffraction maxima, by intensity, 10 to 90 degrees two-theta:
two_theta, d/Å, I/Imax
25.7, 3.461, 100
33.4, 2.679, 79
50.5, 1.806, 58
21.0, 4.231, 57
45.4, 1.998, 34
64.1, 1.453, 19